The following is a theoretical powder X-ray diffraction pattern of Ca11InSb9. It was derived from a cell relaxed with GGA-PBE, using Cu Kα (λ = 1.5418 Å).
No peak broadening, texture or thermal motion is included.

Atomic structure:
abc: 12.100 12.100 12.100
angles: 120.92 117.20 91.66
Positions (direct):
Ca  0.016  0.016  0.000
Ca  0.017  0.677  0.012
Ca  0.025  0.289  0.371
Ca  0.157  0.530  0.259
Ca  0.165  0.177  0.661
Ca  0.222  0.572  0.794
Ca  0.271  0.897  0.741
Ca  0.278  0.072  0.351
Ca  0.410  0.596  0.641
Ca  0.418  0.789  0.264
Ca  0.455  0.096  0.186
Ca  0.516  0.516  0.000
Ca  0.517  0.505  0.339
Ca  0.525  0.154  0.736
Ca  0.657  0.397  0.627
Ca  0.665  0.005  0.988
Ca  0.722  0.928  0.649
Ca  0.771  0.030  0.373
Ca  0.778  0.428  0.206
Ca  0.910  0.269  0.814
Ca  0.918  0.654  0.629
Ca  0.955  0.769  0.359
In  0.232  0.232  0.000
In  0.732  0.732  0.000
Sb  0.005  0.996  0.702
Sb  0.094  0.594  0.500
Sb  0.201  0.848  0.001
Sb  0.228  0.482  0.016
Sb  0.230  0.875  0.426
Sb  0.295  0.303  0.298
Sb  0.347  0.348  0.647
Sb  0.448  0.803  0.574
Sb  0.466  0.213  0.984
Sb  0.505  0.803  0.009
Sb  0.594  0.094  0.500
Sb  0.701  0.700  0.353
Sb  0.728  0.713  0.746
Sb  0.730  0.303  0.355
Sb  0.795  0.496  0.991
Sb  0.847  0.200  0.999
Sb  0.948  0.375  0.645
Sb  0.966  0.982  0.254

Most intense lines, 2θ = 10–80°, low angle first:
d/Å, I (rel.)
3.959, 53
3.891, 50
2.932, 51
2.888, 100
2.819, 84
2.014, 40

The following is a theoretical powder X-ray diffraction pattern of CaIn2Sb. It was derived from a cell relaxed with GGA-PBE, using Cu Kα (λ = 1.5418 Å).
No peak broadening, texture or thermal motion is included.

Atomic structure:
abc: 8.553 8.553 8.553
angles: 28.59 28.59 28.59
Positions (direct):
Ca  0.000  0.000  0.000
In  0.240  0.240  0.240
In  0.760  0.760  0.760
Sb  0.500  0.500  0.500

Most intense lines, 2θ = 10–80°, low angle first:
d/Å, I (rel.)
8.198, 30
3.143, 100
2.353, 39
2.112, 33
1.753, 18
1.349, 14

The following is a theoretical powder X-ray diffraction pattern of CaScIn. It was derived from a cell relaxed with GGA-PBE, using Cu Kα (λ = 1.5418 Å).
No peak broadening, texture or thermal motion is included.

Atomic structure:
abc: 5.261 3.761 8.653
angles: 90.00 107.54 90.00
Positions (direct):
Ca  0.179  0.000  0.356
Ca  0.821  0.000  0.644
Sc  0.000  0.500  0.000
Sc  0.500  0.000  0.000
In  0.358  0.500  0.717
In  0.642  0.500  0.283

Most intense lines, 2θ = 10–80°, low angle first:
d/Å, I (rel.)
5.012, 20
2.779, 15
2.750, 17
2.674, 100
2.630, 27
1.529, 18

The following is a theoretical powder X-ray diffraction pattern of CaIn4Se7. It was derived from a cell relaxed with GGA-PBE, using Cu Kα (λ = 1.5418 Å).
No peak broadening, texture or thermal motion is included.

Atomic structure:
abc: 16.710 6.968 6.821
angles: 90.00 90.00 90.00
Positions (direct):
Ca  0.000  0.054  0.000
Ca  0.500  0.946  0.500
In  0.121  0.637  0.822
In  0.247  0.847  0.314
In  0.253  0.153  0.814
In  0.379  0.363  0.322
In  0.621  0.363  0.322
In  0.747  0.153  0.814
In  0.753  0.847  0.314
In  0.879  0.637  0.822
Se  0.000  0.814  0.656
Se  0.106  0.741  0.191
Se  0.111  0.276  0.725
Se  0.241  0.215  0.203
Se  0.259  0.785  0.703
Se  0.389  0.724  0.225
Se  0.394  0.259  0.691
Se  0.500  0.186  0.156
Se  0.606  0.259  0.691
Se  0.611  0.724  0.225
Se  0.741  0.785  0.703
Se  0.759  0.215  0.203
Se  0.889  0.276  0.725
Se  0.894  0.741  0.191

Most intense lines, 2θ = 10–80°, low angle first:
d/Å, I (rel.)
6.315, 92
3.583, 80
3.484, 73
3.410, 100
3.172, 84
1.920, 85

The following is a theoretical powder X-ray diffraction pattern of CaSm3In3. It was derived from a cell relaxed with GGA-PBE, using Cu Kα (λ = 1.5418 Å).
No peak broadening, texture or thermal motion is included.

Atomic structure:
abc: 7.644 7.644 7.390
angles: 90.00 90.00 90.71
Positions (direct):
Ca  0.218  0.218  0.000
Ca  0.782  0.782  0.000
Sm  0.230  0.770  0.500
Sm  0.241  0.241  0.500
Sm  0.270  0.730  0.000
Sm  0.730  0.270  0.000
Sm  0.759  0.759  0.500
Sm  0.770  0.230  0.500
In  0.000  0.500  0.250
In  0.000  0.500  0.750
In  0.500  0.000  0.250
In  0.500  0.000  0.750
In  0.500  0.500  0.270
In  0.500  0.500  0.730

Most intense lines, 2θ = 10–80°, low angle first:
d/Å, I (rel.)
2.719, 25
2.686, 26
2.657, 100
1.911, 17
1.558, 16
1.545, 17

The following is a theoretical powder X-ray diffraction pattern of Ca3SmIn2. It was derived from a cell relaxed with GGA-PBE, using Cu Kα (λ = 1.5418 Å).
No peak broadening, texture or thermal motion is included.

Atomic structure:
abc: 5.340 9.909 7.155
angles: 90.00 90.00 90.00
Positions (direct):
Ca  0.000  0.050  0.000
Ca  0.000  0.314  0.356
Ca  0.000  0.686  0.856
Ca  0.000  0.950  0.500
Ca  0.500  0.181  0.711
Ca  0.500  0.819  0.211
Sm  0.500  0.454  0.065
Sm  0.500  0.546  0.565
In  0.000  0.366  0.816
In  0.000  0.634  0.316
In  0.500  0.147  0.248
In  0.500  0.853  0.748

Most intense lines, 2θ = 10–80°, low angle first:
d/Å, I (rel.)
4.073, 28
3.929, 31
2.972, 35
2.847, 100
2.809, 75
2.670, 51

The following is a theoretical powder X-ray diffraction pattern of Ca2SmIn2. It was derived from a cell relaxed with GGA-PBE, using Cu Kα (λ = 1.5418 Å).
No peak broadening, texture or thermal motion is included.

Atomic structure:
abc: 6.825 5.369 16.379
angles: 90.00 90.00 90.00
Positions (direct):
Ca  0.031  0.250  0.145
Ca  0.186  0.250  0.731
Ca  0.314  0.750  0.231
Ca  0.469  0.750  0.645
Ca  0.531  0.250  0.355
Ca  0.686  0.250  0.769
Ca  0.814  0.750  0.269
Ca  0.969  0.750  0.855
Sm  0.150  0.750  0.452
Sm  0.350  0.250  0.952
Sm  0.650  0.750  0.048
Sm  0.850  0.250  0.548
In  0.051  0.250  0.346
In  0.137  0.750  0.043
In  0.363  0.250  0.543
In  0.449  0.750  0.846
In  0.551  0.250  0.154
In  0.637  0.750  0.457
In  0.863  0.250  0.957
In  0.949  0.750  0.654

Most intense lines, 2θ = 10–80°, low angle first:
d/Å, I (rel.)
8.190, 47
2.894, 32
2.837, 24
2.796, 100
2.717, 67
2.685, 47

The following is a theoretical powder X-ray diffraction pattern of CaSm5In4. It was derived from a cell relaxed with GGA-PBE, using Cu Kα (λ = 1.5418 Å).
No peak broadening, texture or thermal motion is included.

Atomic structure:
abc: 8.579 9.038 8.560
angles: 90.00 90.00 90.00
Positions (direct):
Ca  0.250  0.250  0.118
Ca  0.750  0.750  0.882
Sm  0.017  0.053  0.760
Sm  0.017  0.447  0.760
Sm  0.250  0.750  0.577
Sm  0.483  0.053  0.760
Sm  0.483  0.447  0.760
Sm  0.517  0.553  0.240
Sm  0.517  0.947  0.240
Sm  0.750  0.250  0.423
Sm  0.983  0.553  0.240
Sm  0.983  0.947  0.240
In  0.091  0.750  0.947
In  0.250  0.089  0.467
In  0.250  0.411  0.467
In  0.409  0.750  0.947
In  0.591  0.250  0.053
In  0.750  0.589  0.533
In  0.750  0.911  0.533
In  0.909  0.250  0.053

Most intense lines, 2θ = 10–80°, low angle first:
d/Å, I (rel.)
3.835, 58
3.109, 100
3.030, 98
2.842, 85
2.517, 52
2.369, 52

Repeat the fourth record exactly.
The following is a theoretical powder X-ray diffraction pattern of CaIn4Se7. It was derived from a cell relaxed with GGA-PBE, using Cu Kα (λ = 1.5418 Å).
No peak broadening, texture or thermal motion is included.

Atomic structure:
abc: 16.710 6.968 6.821
angles: 90.00 90.00 90.00
Positions (direct):
Ca  0.000  0.054  0.000
Ca  0.500  0.946  0.500
In  0.121  0.637  0.822
In  0.247  0.847  0.314
In  0.253  0.153  0.814
In  0.379  0.363  0.322
In  0.621  0.363  0.322
In  0.747  0.153  0.814
In  0.753  0.847  0.314
In  0.879  0.637  0.822
Se  0.000  0.814  0.656
Se  0.106  0.741  0.191
Se  0.111  0.276  0.725
Se  0.241  0.215  0.203
Se  0.259  0.785  0.703
Se  0.389  0.724  0.225
Se  0.394  0.259  0.691
Se  0.500  0.186  0.156
Se  0.606  0.259  0.691
Se  0.611  0.724  0.225
Se  0.741  0.785  0.703
Se  0.759  0.215  0.203
Se  0.889  0.276  0.725
Se  0.894  0.741  0.191

Most intense lines, 2θ = 10–80°, low angle first:
d/Å, I (rel.)
6.315, 92
3.583, 80
3.484, 73
3.410, 100
3.172, 84
1.920, 85

> What is the formula in the first record?

Ca11InSb9